Structure and calculated XRD peak list of AcCo4Pd3O12 (a crystal structure in Alexandria, relaxed with GGA+U; copper Kα).
Kinematic intensities with the Lorentz-polarization factor, no thermal factor.

Cell and atoms:
Cell lengths 7.547, 7.547, 7.547 Å; angles 90.00, 90.00, 90.00 degrees
Space group Im-3 (No. 204)
Symmetry-distinct sites (fractional):
Ac1 0.000 0.000 0.000 [2 per cell]
Co1 0.250 0.250 0.250 [8 per cell]
Pd1 0.000 0.000 0.500 [6 per cell]
O1 0.000 0.305 0.183 [24 per cell]

Largest 8 diffraction maxima, by angle, 10 to 90 degrees two-theta:
- hkl 1 1 0, 16.61 deg, 5.337 Å, I = 107
- hkl 2 0 0, 23.58 deg, 3.774 Å, I = 158
- hkl 2 2 0, 33.59 deg, 2.668 Å, I = 1000
- hkl 2 2 2, 41.44 deg, 2.179 Å, I = 109
- hkl 4 0 0, 48.23 deg, 1.887 Å, I = 244
- hkl 4 2 2, 60.05 deg, 1.541 Å, I = 454
- hkl 4 4 0, 70.59 deg, 1.334 Å, I = 130
- hkl 6 2 0, 80.48 deg, 1.193 Å, I = 168